[1]
The following is a calculated X-ray diffraction stick pattern of Ba8PrY3Cu12O28. It was derived from a crystal structure in the Materials Project, relaxed with GGA-PBE, using a wavelength of 1.5418 Å.

Top 8 peaks for 2θ = 10–80°, by angle:
| d_spacing | intensity | index |
| --- | --- | --- |
| 2.785 | 47 | 0 1 12 |
| 2.756 | 100 | 1 0 12 |
| 2.258 | 12 | 1 1 12 |
| 1.969 | 25 | 0 2 0 |
| 1.928 | 14 | 2 0 0 |
| 1.602 | 38 | 1 2 12 |
| 1.585 | 17 | 2 1 12 |
| 1.378 | 9 | 2 2 0 |

Lattice parameters (Å, degrees): 3.856 3.938 47.283 90.00 90.00 90.00
Space group Pmmm (No. 47)
Unique sites:
Ba  0.000  0.000  0.080 x2
Ba  0.000  0.000  0.170 x2
Ba  0.000  0.000  0.330 x2
Ba  0.000  0.000  0.420 x2
Pr  0.000  0.000  0.000 x1
Y  0.000  0.000  0.250 x2
Y  0.000  0.000  0.500 x1
Cu  0.500  0.500  0.039 x2
Cu  0.500  0.500  0.125 x2
Cu  0.500  0.500  0.213 x2
Cu  0.500  0.500  0.287 x2
Cu  0.500  0.500  0.375 x2
Cu  0.500  0.500  0.463 x2
O  0.000  0.500  0.033 x2
O  0.000  0.500  0.220 x2
O  0.000  0.500  0.280 x2
O  0.000  0.500  0.470 x2
O  0.500  0.000  0.033 x2
O  0.500  0.000  0.125 x2
O  0.500  0.000  0.220 x2
O  0.500  0.000  0.280 x2
O  0.500  0.000  0.375 x2
O  0.500  0.000  0.470 x2
O  0.500  0.500  0.086 x2
O  0.500  0.500  0.165 x2
O  0.500  0.500  0.335 x2
O  0.500  0.500  0.415 x2


[2]
The following is a calculated X-ray diffraction stick pattern of HfMg3O4. It was derived from a crystal structure in the Materials Project, relaxed with GGA-PBE, using a wavelength of 1.5418 Å.

Top 8 peaks for 2θ = 10–80°, by angle:
| d_spacing | intensity | index |
| --- | --- | --- |
| 4.419 | 100 | 1 0 0 |
| 3.125 | 86 | 1 1 0 |
| 2.551 | 52 | 1 1 1 |
| 2.209 | 74 | 2 0 0 |
| 1.976 | 48 | 2 1 0 |
| 1.804 | 36 | 2 1 1 |
| 1.562 | 46 | 2 2 0 |
| 1.332 | 24 | 3 1 1 |

Lattice parameters (Å, degrees): 4.419 4.419 4.419 90.00 90.00 90.00
Space group Pm-3m (No. 221)
Unique sites:
Hf  0.000  0.000  0.000 x1
Mg  0.000  0.500  0.500 x3
O  0.000  0.000  0.500 x3
O  0.500  0.500  0.500 x1


[3]
The following is a calculated X-ray diffraction stick pattern of HoMnSn2. It was derived from a crystal structure in the Materials Project, relaxed with GGA-PBE, using a wavelength of 1.5418 Å.

Top 8 peaks for 2θ = 10–80°, by angle:
| d_spacing | intensity | index |
| --- | --- | --- |
| 2.750 | 45 | 1 4 0 |
| 2.672 | 71 | 3 1 2 |
| 2.563 | 49 | 3 3 0 |
| 2.537 | 100 | 2 3 2 |
| 2.408 | 33 | 0 4 2 |
| 2.251 | 25 | 0 0 4 |
| 1.555 | 19 | 2 7 0 |
| 1.348 | 16 | 2 3 6 |

Lattice parameters (Å, degrees): 10.415 11.403 9.002 90.00 90.00 90.00
Space group Pbam (No. 55)
Unique sites:
Ho  0.164  0.179  0.000 x4
Ho  0.171  0.452  0.242 x8
Mn  0.000  0.000  0.243 x4
Mn  0.089  0.752  0.248 x8
Sn  0.042  0.622  0.000 x4
Sn  0.043  0.624  0.500 x4
Sn  0.126  0.905  0.500 x4
Sn  0.129  0.898  0.000 x4
Sn  0.162  0.181  0.338 x8


[4]
The following is a calculated X-ray diffraction stick pattern of Ca5Pb2N6. It was derived from a crystal structure in the Materials Project, relaxed with GGA-PBE, using a wavelength of 1.5418 Å.

Top 8 peaks for 2θ = 10–80°, by angle:
| d_spacing | intensity | index |
| --- | --- | --- |
| 5.689 | 52 | 2 0 0 |
| 5.015 | 100 | 1 1 -1 |
| 4.513 | 39 | 2 0 -2 |
| 4.307 | 50 | 1 1 2 |
| 2.693 | 38 | 3 1 -3 |
| 2.621 | 39 | 2 2 1 |
| 2.567 | 42 | 0 2 3 |
| 2.049 | 26 | 4 2 1 |

Lattice parameters (Å, degrees): 11.378 6.034 14.651 90.00 90.53 90.00
Space group C2/c (No. 15)
Unique sites:
Ca  0.000  0.097  0.250 x4
Ca  0.116  0.218  0.052 x8
Ca  0.152  0.424  0.717 x8
Pb  0.189  0.356  0.415 x8
N  0.022  0.408  0.351 x8
N  0.175  0.025  0.682 x8
N  0.242  0.002  0.448 x8